# Sm2Zn6Cd
Calculated powder diffractogram, Cu Kα (weighted mean of Kα1 and Kα2). Input: a PBE-relaxed structure.
Kinematic intensities with the Lorentz-polarization factor, no thermal factor.

Crystal structure
Unit cell a=5.8566 b=5.8566 c=5.9445 alpha=90.00 beta=90.00 gamma=120.00
Space group P-3m1 (No. 164)
Asymmetric unit:
Sm 0.3333 0.6667 0.1531 x2
Zn 0.1808 0.3617 0.6542 x6
Cd 0.0000 0.0000 0.0000 x1

Principal peaks in the range 10° ≤ 2θ ≤ 80°, by angle:
| (hkl) | 2θ/deg | d (Å) | Rel. int. |
| --- | --- | --- | --- |
| 1 1 0 | 30.53 | 2.928 | 26 |
| 1 1 1 | 34.13 | 2.627 | 65 |
| 0 1 2 | 34.99 | 2.564 | 80 |
| 2 0 1 | 38.60 | 2.333 | 100 |
| 0 1 3 | 49.38 | 1.846 | 14 |
| 0 3 1 | 56.60 | 1.626 | 17 |
| 1 2 2 | 57.18 | 1.611 | 24 |
| 2 2 0 | 63.54 | 1.464 | 25 |
| 1 2 3 | 68.05 | 1.378 | 22 |
| 3 1 2 | 74.65 | 1.272 | 15 |